Diffraction record for NdSm5Sc4. The X-ray powder pattern is computed, not measured: it uses a GGA-PBE-relaxed structure and Cu Kα X-rays.
No peak broadening, texture or thermal motion is included.

Cell and atoms:
```
data_NdSm5Sc4
_chemical_formula_sum 'Nd2 Sm10 Sc8'
_cell_length_a 9.9372
_cell_length_b 9.9372
_cell_length_c 6.2283
_cell_angle_alpha 90.00
_cell_angle_beta 90.00
_cell_angle_gamma 90.00
_space_group_name_H-M_alt 'I 4'
_space_group_IT_number 79
loop_
_space_group_symop_operation_xyz
'x,y,z'
'-y,x,z'
'-x,-y,z'
'y,-x,z'
'x+1/2,y+1/2,z+1/2'
'-y+1/2,x+1/2,z+1/2'
'-x+1/2,-y+1/2,z+1/2'
'y+1/2,-x+1/2,z+1/2'
loop_
_atom_site_label
_atom_site_type_symbol
_atom_site_fract_x
_atom_site_fract_y
_atom_site_fract_z
Nd1 Nd 0.0000 0.0000 0.0000
Sm1 Sm 0.0000 0.0000 0.4590
Sm2 Sm 0.1488 0.7507 0.7296
Sc1 Sc 0.0586 0.6396 0.2303
```

Principal peaks in the range 2θ from 5° to 70°, sorted by position:
12.6°, I = 41, hkl 1 1 0; 24.6°, I = 72, hkl 1 2 1; 25.4°, I = 50, hkl 2 2 0; 28.4°, I = 100, hkl 3 1 0; 30.6°, I = 62, hkl 3 0 1; 31.4°, I = 45, hkl 1 1 2; 34.0°, I = 91, hkl 2 0 2; 35.6°, I = 81, hkl 3 2 1; 40.8°, I = 59, hkl 1 3 2; 46.6°, I = 31, hkl 1 5 0; 55.4°, I = 33, hkl 3 2 3; 55.6°, I = 30, hkl 5 1 2

=====

Diffraction record for Nd9Sm2Sc. The X-ray powder pattern is computed, not measured: it uses a GGA-PBE-relaxed structure and Cu Kα X-rays.
No peak broadening, texture or thermal motion is included.

Cell and atoms:
```
data_Nd9Sm2Sc
_chemical_formula_sum 'Nd9 Sm2 Sc1'
_cell_length_a 5.1449
_cell_length_b 5.1449
_cell_length_c 15.4289
_cell_angle_alpha 90.00
_cell_angle_beta 90.00
_cell_angle_gamma 90.00
_space_group_name_H-M_alt 'P 4/m m m'
_space_group_IT_number 123
_space_group_name_Hall '-P 4 2'
loop_
_atom_site_label
_atom_site_type_symbol
_atom_site_fract_x
_atom_site_fract_y
_atom_site_fract_z
Nd1 Nd 0.0000 0.0000 0.0000
Nd2 Nd 0.0000 0.0000 0.3306
Nd3 Nd 0.0000 0.5000 0.1613
Nd4 Nd 0.0000 0.5000 0.5000
Sm1 Sm 0.5000 0.5000 0.3302
Sc1 Sc 0.5000 0.5000 0.0000
```

Principal peaks in the range 2θ from 5° to 70°, sorted by position:
5.7°, I = 2, hkl 0 0 1; 18.2°, I = 1, hkl 1 0 1; 20.8°, I = 1, hkl 1 0 2; 27.1°, I = 1, hkl 1 1 2; 28.9°, I = 1, hkl 0 0 5; 30.1°, I = 100, hkl 1 1 3; 34.9°, I = 51, hkl 2 0 0; 45.9°, I = 1, hkl 2 0 5; 50.2°, I = 36, hkl 2 2 0; 53.8°, I = 1, hkl 1 1 8; 59.6°, I = 42, hkl 3 1 3; 62.5°, I = 12, hkl 2 2 6

=====

Diffraction record for Nd5SmTm2Sc. The X-ray powder pattern is computed, not measured: it uses a GGA-PBE-relaxed structure and Cu Kα X-rays.
No peak broadening, texture or thermal motion is included.

Cell and atoms:
```
data_Nd5SmTm2Sc
_chemical_formula_sum 'Nd20 Sm4 Tm8 Sc4'
_cell_length_a 5.3629
_cell_length_b 21.8661
_cell_length_c 10.2784
_cell_angle_alpha 90.00
_cell_angle_beta 90.00
_cell_angle_gamma 90.00
_space_group_name_H-M_alt 'C m c 21'
_space_group_IT_number 36
loop_
_space_group_symop_operation_xyz
'x,y,z'
'-x,-y,z+1/2'
'-x,y,z'
'x,-y,z+1/2'
'x+1/2,y+1/2,z'
'-x+1/2,-y+1/2,z+1/2'
'-x+1/2,y+1/2,z'
'x+1/2,-y+1/2,z+1/2'
loop_
_atom_site_label
_atom_site_type_symbol
_atom_site_fract_x
_atom_site_fract_y
_atom_site_fract_z
Nd1 Nd 0.0000 0.0000 0.0000
Nd2 Nd 0.0000 0.1261 0.2503
Nd3 Nd 0.0000 0.2213 0.5630
Nd4 Nd 0.0000 0.2208 0.9384
Nd5 Nd 0.0000 0.4982 0.7501
Sm1 Sm 0.0000 0.1008 0.7499
Tm1 Tm 0.0000 0.3837 0.0023
Tm2 Tm 0.0000 0.3841 0.4978
Sc1 Sc 0.0000 0.2849 0.2507
```

Principal peaks in the range 2θ from 5° to 70°, sorted by position:
27.0°, I = 36, hkl 1 3 2; 31.2°, I = 9, hkl 1 1 3; 31.6°, I = 100, hkl 1 5 2; 32.8°, I = 14, hkl 0 8 0; 33.4°, I = 40, hkl 2 0 0; 34.9°, I = 17, hkl 0 0 4; 47.5°, I = 11, hkl 2 8 0; 48.6°, I = 9, hkl 0 8 4; 49.1°, I = 13, hkl 2 0 4; 58.6°, I = 17, hkl 3 5 2; 60.3°, I = 9, hkl 2 8 4; 60.4°, I = 13, hkl 1 13 2

=====

Diffraction record for NdSm2Tm4Sc. The X-ray powder pattern is computed, not measured: it uses a GGA-PBE-relaxed structure and Cu Kα X-rays.
No peak broadening, texture or thermal motion is included.

Cell and atoms:
```
data_NdSm2Tm4Sc
_chemical_formula_sum 'Nd4 Sm8 Tm16 Sc4'
_cell_length_a 13.4372
_cell_length_b 13.0707
_cell_length_c 6.7129
_cell_angle_alpha 90.00
_cell_angle_beta 119.95
_cell_angle_gamma 90.00
_space_group_name_H-M_alt 'C 1 2/c 1'
_space_group_IT_number 15
loop_
_space_group_symop_operation_xyz
'x,y,z'
'-x,-y,-z'
'-x,y,-z+1/2'
'x,-y,z+1/2'
'x+1/2,y+1/2,z'
'-x+1/2,-y+1/2,-z'
'-x+1/2,y+1/2,-z+1/2'
'x+1/2,-y+1/2,z+1/2'
loop_
_atom_site_label
_atom_site_type_symbol
_atom_site_fract_x
_atom_site_fract_y
_atom_site_fract_z
Nd1 Nd 0.2500 0.2500 0.0000
Sm1 Sm 0.0000 0.0000 0.0000
Sm2 Sm 0.2500 0.2500 0.5000
Tm1 Tm 0.0000 0.2629 0.0001
Tm2 Tm 0.2349 0.5000 0.4837
Sc1 Sc 0.0000 0.5000 0.0000
```

Principal peaks in the range 2θ from 5° to 70°, sorted by position:
20.4°, I = 4, hkl 2 2 0; 27.3°, I = 45, hkl 0 4 0; 30.7°, I = 100, hkl 4 0 -2; 30.9°, I = 4, hkl 3 3 0; 41.5°, I = 28, hkl 4 4 0; 41.6°, I = 58, hkl 4 4 -2; 54.6°, I = 8, hkl 4 0 2; 54.7°, I = 13, hkl 4 0 -4; 56.3°, I = 5, hkl 0 8 0; 62.1°, I = 25, hkl 4 4 -4; 64.1°, I = 9, hkl 8 0 -4; 65.5°, I = 20, hkl 4 8 -2

=====

Diffraction record for Nd5Sm2YSc. The X-ray powder pattern is computed, not measured: it uses a GGA-PBE-relaxed structure and Cu Kα X-rays.
No peak broadening, texture or thermal motion is included.

Cell and atoms:
```
data_Nd5Sm2YSc
_chemical_formula_sum 'Nd20 Sm8 Y4 Sc4'
_cell_length_a 8.4876
_cell_length_b 8.4876
_cell_length_c 16.9810
_cell_angle_alpha 90.00
_cell_angle_beta 90.00
_cell_angle_gamma 90.00
_space_group_name_H-M_alt 'I 4/m c m'
_space_group_IT_number 140
_space_group_name_Hall '-I 4 2c'
loop_
_atom_site_label
_atom_site_type_symbol
_atom_site_fract_x
_atom_site_fract_y
_atom_site_fract_z
Nd1 Nd 0.0000 0.0000 0.0000
Nd2 Nd 0.2152 0.2848 0.1443
Sm1 Sm 0.1243 0.3757 0.5000
Y1 Y 0.0000 0.0000 0.2500
Sc1 Sc 0.0000 0.5000 0.2500
```

Principal peaks in the range 2θ from 5° to 70°, sorted by position:
28.3°, I = 50, hkl 2 1 3; 29.8°, I = 100, hkl 2 2 0; 31.6°, I = 13, hkl 0 0 6; 33.4°, I = 15, hkl 3 1 0; 35.5°, I = 10, hkl 2 1 5; 38.6°, I = 13, hkl 3 2 1; 42.6°, I = 12, hkl 0 0 8; 44.0°, I = 10, hkl 4 0 2; 47.0°, I = 13, hkl 4 1 3; 52.8°, I = 23, hkl 4 2 4; 54.3°, I = 13, hkl 3 2 7; 67.3°, I = 10, hkl 6 1 1

=====

Diffraction record for NdSm6YSc2. The X-ray powder pattern is computed, not measured: it uses a GGA-PBE-relaxed structure and Cu Kα X-rays.
No peak broadening, texture or thermal motion is included.

Cell and atoms:
```
data_NdSm6YSc2
_chemical_formula_sum 'Nd4 Sm24 Y4 Sc8'
_cell_length_a 9.0675
_cell_length_b 15.0009
_cell_length_c 9.5614
_cell_angle_alpha 90.00
_cell_angle_beta 98.00
_cell_angle_gamma 90.00
_space_group_name_H-M_alt 'C 1 2/c 1'
_space_group_IT_number 15
loop_
_space_group_symop_operation_xyz
'x,y,z'
'-x,-y,-z'
'-x,y,-z+1/2'
'x,-y,z+1/2'
'x+1/2,y+1/2,z'
'-x+1/2,-y+1/2,-z'
'-x+1/2,y+1/2,-z+1/2'
'x+1/2,-y+1/2,z+1/2'
loop_
_atom_site_label
_atom_site_type_symbol
_atom_site_fract_x
_atom_site_fract_y
_atom_site_fract_z
Nd1 Nd 0.0000 0.0949 0.2500
Sm1 Sm 0.0648 0.3244 0.4472
Sm2 Sm 0.0995 0.1021 0.6198
Sm3 Sm 0.2089 0.2710 0.8198
Y1 Y 0.0000 0.4715 0.7500
Sc1 Sc 0.2456 0.4489 0.0470
```

Principal peaks in the range 2θ from 5° to 70°, sorted by position:
23.1°, I = 18, hkl 2 2 0; 28.7°, I = 42, hkl 1 3 2; 30.6°, I = 77, hkl 3 1 -1; 30.7°, I = 51, hkl 0 2 3; 31.1°, I = 21, hkl 2 4 0; 31.4°, I = 53, hkl 1 5 0; 31.7°, I = 100, hkl 2 2 2; 32.5°, I = 19, hkl 1 5 -1; 33.9°, I = 51, hkl 1 3 -3; 34.5°, I = 34, hkl 2 2 -3; 47.0°, I = 18, hkl 4 4 -1; 51.0°, I = 17, hkl 1 1 5

=====

Diffraction record for Nd4Sm2YSc. The X-ray powder pattern is computed, not measured: it uses a GGA-PBE-relaxed structure and Cu Kα X-rays.
No peak broadening, texture or thermal motion is included.

Cell and atoms:
```
data_Nd4Sm2YSc
_chemical_formula_sum 'Nd4 Sm2 Y1 Sc1'
_cell_length_a 5.1105
_cell_length_b 5.1320
_cell_length_c 10.0667
_cell_angle_alpha 90.00
_cell_angle_beta 90.00
_cell_angle_gamma 90.00
_space_group_name_H-M_alt 'P m m m'
_space_group_IT_number 47
loop_
_space_group_symop_operation_xyz
'x,y,z'
'-x,-y,-z'
'-x,-y,z'
'x,y,-z'
'x,-y,-z'
'-x,y,z'
'-x,y,-z'
'x,-y,z'
loop_
_atom_site_label
_atom_site_type_symbol
_atom_site_fract_x
_atom_site_fract_y
_atom_site_fract_z
Nd1 Nd 0.0000 0.0000 0.2442
Nd2 Nd 0.5000 0.5000 0.2448
Sm1 Sm 0.0000 0.5000 0.0000
Sm2 Sm 0.5000 0.0000 0.5000
Y1 Y 0.0000 0.5000 0.5000
Sc1 Sc 0.5000 0.0000 0.0000
```

Principal peaks in the range 2θ from 5° to 70°, sorted by position:
19.4°, I = 7, hkl 1 0 1; 30.4°, I = 100, hkl 1 1 2; 35.0°, I = 17, hkl 0 2 0; 35.1°, I = 17, hkl 2 0 0; 35.7°, I = 16, hkl 0 0 4; 50.4°, I = 12, hkl 2 2 0; 50.8°, I = 12, hkl 0 2 4; 50.9°, I = 12, hkl 2 0 4; 59.9°, I = 14, hkl 1 3 2; 60.1°, I = 14, hkl 3 1 2; 60.8°, I = 14, hkl 1 1 6; 63.3°, I = 12, hkl 2 2 4

=====

Diffraction record for NdSc4Sn4. The X-ray powder pattern is computed, not measured: it uses a GGA-PBE-relaxed structure and Cu Kα X-rays.
No peak broadening, texture or thermal motion is included.

Cell and atoms:
```
data_NdSc4Sn4
_chemical_formula_sum 'Nd2 Sc8 Sn8'
_cell_length_a 9.5499
_cell_length_b 9.5499
_cell_length_c 5.8041
_cell_angle_alpha 90.00
_cell_angle_beta 90.00
_cell_angle_gamma 90.00
_space_group_name_H-M_alt 'P 42/n'
_space_group_IT_number 86
loop_
_space_group_symop_operation_xyz
'x,y,z'
'-x,-y,-z'
'-y,x+1/2,z+1/2'
'y,-x+1/2,-z+1/2'
'-x+1/2,-y+1/2,z'
'x+1/2,y+1/2,-z'
'y+1/2,-x,z+1/2'
'-y+1/2,x,-z+1/2'
loop_
_atom_site_label
_atom_site_type_symbol
_atom_site_fract_x
_atom_site_fract_y
_atom_site_fract_z
Nd1 Nd 0.2500 0.2500 0.2500
Sc1 Sc 0.1119 0.6376 0.1481
Sn1 Sn 0.0560 0.5957 0.6656
```

Principal peaks in the range 2θ from 5° to 70°, sorted by position:
17.9°, I = 51, hkl 1 0 1; 20.2°, I = 21, hkl 1 1 1; 25.9°, I = 58, hkl 1 2 1; 26.4°, I = 22, hkl 2 2 0; 29.6°, I = 100, hkl 1 3 0; 30.8°, I = 19, hkl 0 0 2; 32.2°, I = 36, hkl 1 0 2; 37.3°, I = 36, hkl 2 3 1; 42.0°, I = 51, hkl 4 1 1; 42.1°, I = 45, hkl 3 0 2; 43.2°, I = 25, hkl 1 3 2; 46.4°, I = 19, hkl 3 2 2

=====

Diffraction record for Nd3ScSn5. The X-ray powder pattern is computed, not measured: it uses a GGA-PBE-relaxed structure and Cu Kα X-rays.
No peak broadening, texture or thermal motion is included.

Cell and atoms:
```
data_Nd3ScSn5
_chemical_formula_sum 'Nd6 Sc2 Sn10'
_cell_length_a 9.4594
_cell_length_b 9.4594
_cell_length_c 6.3891
_cell_angle_alpha 90.00
_cell_angle_beta 90.00
_cell_angle_gamma 120.00
_space_group_name_H-M_alt 'P 63/m c m'
_space_group_IT_number 193
_space_group_name_Hall '-P 6c 2'
loop_
_atom_site_label
_atom_site_type_symbol
_atom_site_fract_x
_atom_site_fract_y
_atom_site_fract_z
Nd1 Nd 0.0000 0.3853 0.2500
Sc1 Sc 0.0000 0.0000 0.0000
Sn1 Sn 0.0000 0.2718 0.7500
Sn2 Sn 0.3333 0.6667 0.0000
```

Principal peaks in the range 2θ from 5° to 70°, sorted by position:
27.9°, I = 18, hkl 0 0 2; 32.1°, I = 76, hkl 2 1 1; 32.8°, I = 89, hkl 3 0 0; 33.9°, I = 100, hkl 1 1 2; 42.2°, I = 25, hkl 3 1 1; 47.9°, I = 26, hkl 2 2 2; 50.6°, I = 13, hkl 3 2 1; 52.1°, I = 20, hkl 2 1 3; 59.2°, I = 16, hkl 4 1 2; 61.6°, I = 17, hkl 4 2 1; 65.1°, I = 13, hkl 5 1 1; 68.0°, I = 22, hkl 3 0 4

=====

Diffraction record for Nd3Sc2Sn3. The X-ray powder pattern is computed, not measured: it uses a GGA-PBE-relaxed structure and Cu Kα X-rays.
No peak broadening, texture or thermal motion is included.

Cell and atoms:
```
data_Nd3Sc2Sn3
_chemical_formula_sum 'Nd6 Sc4 Sn6'
_cell_length_a 9.0223
_cell_length_b 9.0223
_cell_length_c 6.3931
_cell_angle_alpha 90.00
_cell_angle_beta 90.00
_cell_angle_gamma 120.00
_space_group_name_H-M_alt 'P 63/m c m'
_space_group_IT_number 193
_space_group_name_Hall '-P 6c 2'
loop_
_atom_site_label
_atom_site_type_symbol
_atom_site_fract_x
_atom_site_fract_y
_atom_site_fract_z
Nd1 Nd 0.0000 0.2430 0.2500
Sc1 Sc 0.3333 0.6667 0.0000
Sn1 Sn 0.0000 0.4025 0.7500
```

Principal peaks in the range 2θ from 5° to 70°, sorted by position:
19.7°, I = 17, hkl 1 1 0; 27.9°, I = 31, hkl 0 0 2; 30.3°, I = 21, hkl 2 1 0; 33.4°, I = 100, hkl 2 1 1; 34.4°, I = 47, hkl 3 0 0; 44.1°, I = 13, hkl 3 1 1; 53.0°, I = 36, hkl 2 1 3; 55.1°, I = 9, hkl 4 0 2; 63.6°, I = 9, hkl 3 3 1; 66.6°, I = 16, hkl 5 0 2; 68.4°, I = 7, hkl 3 2 3; 69.0°, I = 7, hkl 3 0 4

=====

Diffraction record for Tb2Nd8Sc3. The X-ray powder pattern is computed, not measured: it uses a GGA-PBE-relaxed structure and Cu Kα X-rays.
No peak broadening, texture or thermal motion is included.

Cell and atoms:
```
data_Tb2Nd8Sc3
_chemical_formula_sum 'Tb4 Nd16 Sc6'
_cell_length_a 13.3839
_cell_length_b 11.4679
_cell_length_c 6.0003
_cell_angle_alpha 90.00
_cell_angle_beta 112.86
_cell_angle_gamma 90.00
_space_group_name_H-M_alt 'C 1 2/m 1'
_space_group_IT_number 12
loop_
_space_group_symop_operation_xyz
'x,y,z'
'-x,-y,-z'
'-x,y,-z'
'x,-y,z'
'x+1/2,y+1/2,z'
'-x+1/2,-y+1/2,-z'
'-x+1/2,y+1/2,-z'
'x+1/2,-y+1/2,z'
loop_
_atom_site_label
_atom_site_type_symbol
_atom_site_fract_x
_atom_site_fract_y
_atom_site_fract_z
Tb1 Tb 0.1832 0.0000 0.3255
Nd1 Nd 0.0852 0.0000 0.7588
Nd2 Nd 0.1363 0.5000 0.1166
Nd3 Nd 0.1541 0.2656 0.6459
Sc1 Sc 0.0000 0.2322 0.0000
Sc2 Sc 0.0000 0.5000 0.5000
```

Principal peaks in the range 2θ from 5° to 70°, sorted by position:
23.0°, I = 15, hkl 2 2 -1; 29.0°, I = 17, hkl 4 0 0; 29.9°, I = 45, hkl 2 0 -2; 31.2°, I = 93, hkl 0 4 0; 31.3°, I = 100, hkl 4 2 -1; 32.7°, I = 27, hkl 3 1 1; 33.8°, I = 12, hkl 2 2 -2; 38.5°, I = 18, hkl 1 3 -2; 39.8°, I = 22, hkl 3 3 1; 43.7°, I = 11, hkl 2 4 -2; 50.4°, I = 14, hkl 1 5 -2; 55.6°, I = 17, hkl 4 6 -1

=====

Diffraction record for TbNd2Sc2. The X-ray powder pattern is computed, not measured: it uses a GGA-PBE-relaxed structure and Cu Kα X-rays.
No peak broadening, texture or thermal motion is included.

Cell and atoms:
```
data_TbNd2Sc2
_chemical_formula_sum 'Tb2 Nd4 Sc4'
_cell_length_a 17.9790
_cell_length_b 4.8255
_cell_length_c 3.5294
_cell_angle_alpha 90.00
_cell_angle_beta 101.23
_cell_angle_gamma 90.00
_space_group_name_H-M_alt 'C 1 2/m 1'
_space_group_IT_number 12
loop_
_space_group_symop_operation_xyz
'x,y,z'
'-x,-y,-z'
'-x,y,-z'
'x,-y,z'
'x+1/2,y+1/2,z'
'-x+1/2,-y+1/2,-z'
'-x+1/2,y+1/2,-z'
'x+1/2,-y+1/2,z'
loop_
_atom_site_label
_atom_site_type_symbol
_atom_site_fract_x
_atom_site_fract_y
_atom_site_fract_z
Tb1 Tb 0.0000 0.0000 0.0000
Nd1 Nd 0.1946 0.0000 0.1945
Sc1 Sc 0.0955 0.5000 0.5951
```

Principal peaks in the range 2θ from 5° to 70°, sorted by position:
19.1°, I = 19, hkl 1 1 0; 25.7°, I = 9, hkl 0 0 1; 31.4°, I = 100, hkl 1 1 -1; 36.0°, I = 34, hkl 4 0 1; 37.3°, I = 16, hkl 0 2 0; 44.3°, I = 7, hkl 5 1 1; 51.8°, I = 12, hkl 2 0 -2; 52.8°, I = 23, hkl 4 2 1; 61.8°, I = 20, hkl 3 1 2; 61.9°, I = 7, hkl 11 1 -1; 63.6°, I = 13, hkl 1 3 -1; 65.6°, I = 11, hkl 2 2 -2

=====

What did the fourth record say?
Diffraction record for NdSm2Tm4Sc. The X-ray powder pattern is computed, not measured: it uses a GGA-PBE-relaxed structure and Cu Kα X-rays.
No peak broadening, texture or thermal motion is included.

Cell and atoms:
```
data_NdSm2Tm4Sc
_chemical_formula_sum 'Nd4 Sm8 Tm16 Sc4'
_cell_length_a 13.4372
_cell_length_b 13.0707
_cell_length_c 6.7129
_cell_angle_alpha 90.00
_cell_angle_beta 119.95
_cell_angle_gamma 90.00
_space_group_name_H-M_alt 'C 1 2/c 1'
_space_group_IT_number 15
loop_
_space_group_symop_operation_xyz
'x,y,z'
'-x,-y,-z'
'-x,y,-z+1/2'
'x,-y,z+1/2'
'x+1/2,y+1/2,z'
'-x+1/2,-y+1/2,-z'
'-x+1/2,y+1/2,-z+1/2'
'x+1/2,-y+1/2,z+1/2'
loop_
_atom_site_label
_atom_site_type_symbol
_atom_site_fract_x
_atom_site_fract_y
_atom_site_fract_z
Nd1 Nd 0.2500 0.2500 0.0000
Sm1 Sm 0.0000 0.0000 0.0000
Sm2 Sm 0.2500 0.2500 0.5000
Tm1 Tm 0.0000 0.2629 0.0001
Tm2 Tm 0.2349 0.5000 0.4837
Sc1 Sc 0.0000 0.5000 0.0000
```

Principal peaks in the range 2θ from 5° to 70°, sorted by position:
20.4°, I = 4, hkl 2 2 0; 27.3°, I = 45, hkl 0 4 0; 30.7°, I = 100, hkl 4 0 -2; 30.9°, I = 4, hkl 3 3 0; 41.5°, I = 28, hkl 4 4 0; 41.6°, I = 58, hkl 4 4 -2; 54.6°, I = 8, hkl 4 0 2; 54.7°, I = 13, hkl 4 0 -4; 56.3°, I = 5, hkl 0 8 0; 62.1°, I = 25, hkl 4 4 -4; 64.1°, I = 9, hkl 8 0 -4; 65.5°, I = 20, hkl 4 8 -2